Structure and calculated powder XRD pattern of Cr2BiOsO8 (DFT lattice parameters and positions (GGA+U); Cu Kα X-rays).
No peak broadening, texture or thermal motion is included.

Structure:
```
Cr2BiOsO8
1.0
3.302 -3.314 0.000
3.302 3.314 0.000
0.000 0.000 6.454
Cr Bi Os O
2 1 1 8
Cartesian
0.000 0.000 1.581
0.000 0.000 4.873
3.302 0.000 3.227
3.302 0.000 0.000
1.151 0.000 3.227
1.364 0.000 0.000
3.302 1.315 1.428
3.302 1.315 5.026
3.302 -1.315 1.428
3.302 -1.315 5.026
5.241 0.000 0.000
5.453 0.000 3.227
```

Principal peaks in the range 2θ = 10–80°, low angle first:
18.97°, rel. 64; 26.95°, rel. 100; 33.74°, rel. 87; 38.97°, rel. 27; 52.04°, rel. 33; 52.15°, rel. 34